For LaNdZn6Ge3, a cell relaxed with GGA-PBE gives the simulated XRD peak list in this record (Cu Ka).
Intensities are scaled so that the largest is 100.

Principal peaks in the range 2θ = 10–80°, low angle first:
| d_spacing | Rel. int. |
| --- | --- |
| 2.819 | 100 |
| 2.596 | 14 |
| 2.522 | 21 |
| 2.224 | 33 |
| 2.153 | 53 |
| 2.067 | 25 |
| 1.851 | 13 |
| 1.746 | 14 |
| 1.599 | 10 |
| 1.514 | 19 |
| 1.379 | 10 |
| 1.374 | 21 |

```
data_LaNdZn6Ge3
_cell_length_a 7.7058
_cell_length_b 7.7058
_cell_length_c 4.1342
_cell_angle_alpha 90.00
_cell_angle_beta 90.00
_cell_angle_gamma 120.00
_symmetry_space_group_name_H-M 'P -6'
_symmetry_Int_Tables_number 174
loop_
_symmetry_equiv_pos_as_xyz
'x,y,z'
'-x+y,-x,-z'
'-y,x-y,z'
'x,y,-z'
'-x+y,-x,z'
'-y,x-y,-z'
loop_
_atom_site_label
_atom_site_type_symbol
_atom_site_fract_x
_atom_site_fract_y
_atom_site_fract_z
La1 La 0.0000 0.0000 0.0000
Nd1 Nd 0.6667 0.3333 0.0000
Zn1 Zn 0.0433 0.6659 0.5000
Zn2 Zn 0.1432 0.4791 0.0000
Ge1 Ge 0.3352 0.0483 0.5000
```

***

For Tb2GdAl7Cu2, a cell relaxed with GGA-PBE gives the simulated XRD peak list in this record (Cu Ka).
Intensities are scaled so that the largest is 100.

Principal peaks in the range 2θ = 10–80°, low angle first:
| d_spacing | Rel. int. |
| --- | --- |
| 4.684 | 41 |
| 4.257 | 31 |
| 2.897 | 51 |
| 2.751 | 88 |
| 2.652 | 33 |
| 2.372 | 27 |
| 2.310 | 100 |
| 1.615 | 19 |
| 1.588 | 17 |
| 1.488 | 24 |
| 1.448 | 27 |
| 1.375 | 19 |

```
data_Tb2GdAl7Cu2
_cell_length_a 5.5013
_cell_length_b 5.5013
_cell_length_c 25.5447
_cell_angle_alpha 90.00
_cell_angle_beta 90.00
_cell_angle_gamma 120.00
_symmetry_space_group_name_H-M 'R -3 m'
_symmetry_Int_Tables_number 166
_symmetry_space_group_name_Hall '-R 3 2"'
loop_
_atom_site_label
_atom_site_type_symbol
_atom_site_fract_x
_atom_site_fract_y
_atom_site_fract_z
Tb1 Tb 0.0000 0.0000 0.1419
Gd1 Gd 0.0000 0.0000 0.0000
Al1 Al 0.0000 0.0000 0.5000
Al2 Al 0.0062 0.5031 0.9214
Cu1 Cu 0.0000 0.0000 0.3353
```

***

For SmEr2Al7Ag2, a cell relaxed with GGA-PBE gives the simulated XRD peak list in this record (Cu Ka).
Intensities are scaled so that the largest is 100.

Principal peaks in the range 2θ = 10–80°, low angle first:
| d_spacing | Rel. int. |
| --- | --- |
| 4.727 | 19 |
| 4.392 | 37 |
| 3.882 | 20 |
| 2.964 | 29 |
| 2.774 | 86 |
| 2.717 | 19 |
| 2.393 | 15 |
| 2.346 | 100 |
| 1.602 | 16 |
| 1.505 | 24 |
| 1.484 | 17 |
| 1.387 | 17 |

```
data_SmEr2Al7Ag2
_cell_length_a 5.5484
_cell_length_b 5.5484
_cell_length_c 26.3547
_cell_angle_alpha 90.00
_cell_angle_beta 90.00
_cell_angle_gamma 120.00
_symmetry_space_group_name_H-M 'R -3 m'
_symmetry_Int_Tables_number 166
_symmetry_space_group_name_Hall '-R 3 2"'
loop_
_atom_site_label
_atom_site_type_symbol
_atom_site_fract_x
_atom_site_fract_y
_atom_site_fract_z
Sm1 Sm 0.0000 0.0000 0.0000
Er1 Er 0.0000 0.0000 0.1423
Al1 Al 0.0000 0.0000 0.5000
Al2 Al 0.0081 0.5040 0.9157
Ag1 Ag 0.0000 0.0000 0.3356
```